(1)
Structure and theoretical powder XRD pattern of Cs2K3Rb9 (DFT lattice parameters and positions (PBE); Cu Kα, 1.54184 Å).
No peak broadening, texture or thermal motion is included.

The 10 most intense peaks (10 to 90 degrees two-theta), by angle:
d_spacing	two_theta	I/Imax	index
4.723	18.79	21.3	4 0 2
4.291	20.70	22.2	4 2 1
4.258	20.86	43.2	0 2 3
4.221	21.05	93.6	3 1 3
3.959	22.46	100.0	3 3 0
3.874	22.96	41.5	6 0 0
2.866	31.21	15.5	6 2 3
2.348	38.33	29.4	3 5 3
2.328	38.67	16.5	6 4 3
2.299	39.18	22.2	9 1 3

Structural model:
```
data_Cs2K3Rb9
_chemical_formula_sum 'Cs8 K12 Rb36'
_symmetry_space_group_name_H-M 'C m c m'
_symmetry_Int_Tables_number 63
_symmetry_space_group_name_Hall '-C 2c 2'
_cell_length_a 23.247
_cell_length_b 13.837
_cell_length_c 16.210
_cell_angle_alpha 90.00
_cell_angle_beta 90.00
_cell_angle_gamma 90.00
loop_
_atom_site_label
_atom_site_fract_x
_atom_site_fract_y
_atom_site_fract_z
Cs1 0.152 0.159 0.250
K1 0.000 0.000 0.000
K2 0.177 0.500 0.000
Rb1 0.000 0.150 0.750
Rb2 0.000 0.330 0.039
Rb3 0.106 0.464 0.750
Rb4 0.174 0.170 0.590
```

(2)
Structure and theoretical powder XRD pattern of Li2Sm3Au3 (DFT lattice parameters and positions (PBE); Cu Kα, 1.54184 Å).
No peak broadening, texture or thermal motion is included.

The 10 most intense peaks (10 to 90 degrees two-theta), by angle:
d_spacing	two_theta	I/Imax	index
4.374	20.30	57.9	1 1 0
2.844	31.46	41.0	0 0 2
2.558	35.09	100.0	2 1 1
2.525	35.55	25.1	3 0 0
2.384	37.73	27.1	1 1 2
1.971	46.05	31.2	3 1 1
1.888	48.19	19.9	3 0 2
1.581	58.37	23.3	2 1 3
1.388	67.46	12.7	4 2 1
1.337	70.41	10.6	5 0 2

Structural model:
```
data_Li2Sm3Au3
_chemical_formula_sum 'Li4 Sm6 Au6'
_symmetry_space_group_name_H-M 'P 63/m c m'
_symmetry_Int_Tables_number 193
_symmetry_space_group_name_Hall '-P 6c 2'
_cell_length_a 8.7479
_cell_length_b 8.7479
_cell_length_c 5.6879
_cell_angle_alpha 90.00
_cell_angle_beta 90.00
_cell_angle_gamma 120.00
loop_
_atom_site_label
_atom_site_fract_x
_atom_site_fract_y
_atom_site_fract_z
Li1 0.3333 0.6667 0.0000
Sm1 0.0000 0.2581 0.2500
Au1 0.0000 0.3968 0.7500
```

(3)
Structure and theoretical powder XRD pattern of Cs2GeI5Cl (DFT lattice parameters and positions (PBE); Cu Kα, 1.54184 Å).
No peak broadening, texture or thermal motion is included.

The 10 most intense peaks (10 to 90 degrees two-theta), by angle:
d_spacing	two_theta	I/Imax	index
6.755	13.11	18.4	1 0 1
3.378	26.39	100.0	2 0 2
2.949	30.31	23.4	0 0 4
2.913	30.69	47.3	2 2 0
2.072	43.68	33.1	2 2 4
2.060	43.95	16.9	4 0 0
1.774	51.51	13.6	2 0 6
1.759	52.00	28.4	4 2 2
1.689	54.32	16.9	4 0 4
1.344	69.98	10.6	4 2 6

Structural model:
```
data_Cs2GeI5Cl
_chemical_formula_sum 'Cs4 Ge2 I10 Cl2'
_symmetry_space_group_name_H-M 'I 4 m m'
_symmetry_Int_Tables_number 107
_symmetry_space_group_name_Hall 'I 4 -2'
_cell_length_a 8.240
_cell_length_b 8.240
_cell_length_c 11.795
_cell_angle_alpha 90.00
_cell_angle_beta 90.00
_cell_angle_gamma 90.00
loop_
_atom_site_label
_atom_site_fract_x
_atom_site_fract_y
_atom_site_fract_z
Cs1 0.000 0.500 0.000
Ge1 0.000 0.000 0.247
I1 0.000 0.000 0.486
I2 0.239 0.239 0.247
Cl1 0.000 0.000 0.048
```

(4)
Structure and theoretical powder XRD pattern of Tb2ErTm4Sc (DFT lattice parameters and positions (PBE); Cu Kα, 1.54184 Å).
No peak broadening, texture or thermal motion is included.

The 10 most intense peaks (10 to 90 degrees two-theta), by angle:
d_spacing	two_theta	I/Imax	index
2.841	31.49	100.0	1 1 2
2.461	36.52	50.4	2 0 0
1.740	52.60	35.5	2 2 0
1.485	62.57	28.1	3 1 2
1.482	62.68	13.8	1 1 6
1.421	65.73	12.1	2 2 4
1.231	77.53	3.8	4 0 0
1.129	86.13	17.7	3 3 2
1.101	88.89	11.1	4 2 0
1.099	89.06	5.5	2 0 8

Structural model:
```
data_Tb2ErTm4Sc
_chemical_formula_sum 'Tb2 Er1 Tm4 Sc1'
_symmetry_space_group_name_H-M 'P 4/m m m'
_symmetry_Int_Tables_number 123
_symmetry_space_group_name_Hall '-P 4 2'
_cell_length_a 4.925
_cell_length_b 4.925
_cell_length_c 9.829
_cell_angle_alpha 90.00
_cell_angle_beta 90.00
_cell_angle_gamma 90.00
loop_
_atom_site_label
_atom_site_fract_x
_atom_site_fract_y
_atom_site_fract_z
Tb1 0.000 0.000 0.000
Tb2 0.500 0.500 0.500
Er1 0.000 0.000 0.500
Tm1 0.000 0.500 0.246
Sc1 0.500 0.500 0.000
```